For KVHgF6, a DFT-relaxed cell (PBE+U, Alexandria) gives the theoretical XRD peak list in this record (Cu Kα (λ = 1.5418 Å)).

Structural model:
Cell: 4.917 5.734 5.744 Å, 62.65 88.07 88.17°
Space group P1 (No. 1)
Unique sites:
K 0.000 0.000 0.000 x1
V 0.341 0.343 0.343 x1
Hg 0.567 0.675 0.675 x1
F 0.079 0.479 0.482 x1
F 0.152 0.020 0.476 x1
F 0.153 0.478 0.021 x1
F 0.529 0.206 0.668 x1
F 0.529 0.669 0.208 x1
F 0.608 0.208 0.205 x1

Main lines, in order of rising 2θ (2θ = 5–70°):
d = 5.097 Å, 17.40°, intensity 71.2, (0 0 1); d = 4.908 Å, 18.07°, intensity 87.4, (1 0 0); d = 3.538 Å, 25.17°, intensity 54.5, (1 1 1); d = 3.502 Å, 25.43°, intensity 100.0, (1 0 -1); d = 2.865 Å, 31.22°, intensity 58.8, (0 2 1); d = 2.549 Å, 35.20°, intensity 37.3, (0 0 2); d = 2.244 Å, 40.19°, intensity 34.3, (1 -2 0); d = 2.161 Å, 41.81°, intensity 34.1, (-1 2 2)